Record 1
# Na2Mg2Ga2PtAu
Calculated PXRD pattern, Cu Kα (weighted mean of Kα1 and Kα2). Input: a PBE-relaxed structure.
Neutral-atom scattering factors, no anomalous dispersion.

Crystal structure
abc: 4.6404 4.6404 6.6056
angles: 90.00 90.00 90.00
Fractional positions:
Na1 0.0000 0.0000 0.0000
Na2 0.5000 0.5000 0.5000
Mg1 0.0000 0.5000 0.2426
Mg2 0.5000 0.0000 0.7574
Ga1 0.0000 0.5000 0.7635
Ga2 0.5000 0.0000 0.2365
Pt1 0.5000 0.5000 0.0000
Au1 0.0000 0.0000 0.5000

Largest 10 diffraction maxima, in order of falling intensity, 5° ≤ 2θ ≤ 70°:
23.43 deg, intensity 1000, hkl 1 0 1; 38.68 deg, intensity 902, hkl 1 1 2; 38.81 deg, intensity 450, hkl 2 0 0; 45.83 deg, intensity 352, hkl 2 1 1; 45.60 deg, intensity 177, hkl 1 0 3; 27.18 deg, intensity 160, hkl 1 1 0; 56.06 deg, intensity 153, hkl 2 2 0; 69.92 deg, intensity 152, hkl 2 0 4; 61.39 deg, intensity 150, hkl 2 1 3; 27.00 deg, intensity 83, hkl 0 0 2

Record 2
# Na2Mg2ZnGaAu2
Calculated PXRD pattern, Cu Kα (weighted mean of Kα1 and Kα2). Input: a PBE-relaxed structure.
Neutral-atom scattering factors, no anomalous dispersion.

Crystal structure
abc: 4.7000 4.7000 6.6555
angles: 90.00 90.00 90.00
Fractional positions:
Na1 0.0000 0.5000 0.2483
Na2 0.5000 0.0000 0.7517
Mg1 0.0000 0.0000 0.0000
Mg2 0.5000 0.5000 0.5000
Zn1 0.5000 0.5000 0.0000
Ga1 0.0000 0.0000 0.5000
Au1 0.0000 0.5000 0.7496
Au2 0.5000 0.0000 0.2504

Largest 9 diffraction maxima, in order of falling intensity, 5° ≤ 2θ ≤ 70°:
38.28 deg, intensity 1000, hkl 2 0 0; 23.17 deg, intensity 741, hkl 1 0 1; 45.23 deg, intensity 399, hkl 2 1 1; 69.22 deg, intensity 343, hkl 3 1 2; 26.81 deg, intensity 186, hkl 1 1 0; 55.26 deg, intensity 171, hkl 2 2 0; 60.71 deg, intensity 169, hkl 3 0 1; 62.46 deg, intensity 76, hkl 3 1 0; 47.36 deg, intensity 56, hkl 2 0 2

Record 3
# Tm3Mg3GaAu2
Calculated PXRD pattern, Cu Kα (weighted mean of Kα1 and Kα2). Input: a PBE-relaxed structure.
Neutral-atom scattering factors, no anomalous dispersion.

Crystal structure
abc: 7.5052 7.5052 4.0904
angles: 90.00 90.00 120.00
Fractional positions:
Tm1 0.0000 0.5860 0.0000
Tm2 0.4140 0.4140 0.0000
Tm3 0.5860 0.0000 0.0000
Mg1 0.0000 0.2472 0.5000
Mg2 0.2472 0.0000 0.5000
Mg3 0.7528 0.7528 0.5000
Ga1 0.0000 0.0000 0.0000
Au1 0.3333 0.6667 0.5000
Au2 0.6667 0.3333 0.5000

Largest 10 diffraction maxima, in order of falling intensity, 5° ≤ 2θ ≤ 70°:
32.38 deg, intensity 1000, hkl 1 1 1; 35.27 deg, intensity 785, hkl 2 0 1; 13.62 deg, intensity 440, hkl 1 0 0; 23.71 deg, intensity 352, hkl 1 1 0; 41.69 deg, intensity 294, hkl 3 0 0; 36.58 deg, intensity 224, hkl 2 1 0; 42.95 deg, intensity 211, hkl 2 1 1; 44.29 deg, intensity 198, hkl 0 0 2; 50.64 deg, intensity 192, hkl 3 1 0; 66.77 deg, intensity 188, hkl 3 2 1

Record 4
# Y3Mg3Ga2Au
Calculated PXRD pattern, Cu Kα (weighted mean of Kα1 and Kα2). Input: a PBE-relaxed structure.
Neutral-atom scattering factors, no anomalous dispersion.

Crystal structure
abc: 7.3873 7.3873 4.3131
angles: 90.00 90.00 120.00
Fractional positions:
Y1 0.0000 0.5828 0.0000
Y2 0.4172 0.4172 0.0000
Y3 0.5828 0.0000 0.0000
Mg1 0.0000 0.2450 0.5000
Mg2 0.2450 0.0000 0.5000
Mg3 0.7550 0.7550 0.5000
Ga1 0.3333 0.6667 0.5000
Ga2 0.6667 0.3333 0.5000
Au1 0.0000 0.0000 0.0000

Largest 10 diffraction maxima, in order of falling intensity, 5° ≤ 2θ ≤ 70°:
34.92 deg, intensity 1000, hkl 2 0 1; 42.88 deg, intensity 372, hkl 2 1 1; 24.09 deg, intensity 319, hkl 1 1 0; 24.90 deg, intensity 316, hkl 1 0 1; 27.89 deg, intensity 309, hkl 2 0 0; 31.90 deg, intensity 273, hkl 1 1 1; 42.39 deg, intensity 262, hkl 3 0 0; 67.40 deg, intensity 229, hkl 3 2 1; 41.89 deg, intensity 209, hkl 0 0 2; 61.12 deg, intensity 175, hkl 3 0 2

Record 5
# NaGa2Au4
Calculated PXRD pattern, Cu Kα (weighted mean of Kα1 and Kα2). Input: a PBE-relaxed structure.
Neutral-atom scattering factors, no anomalous dispersion.

Crystal structure
abc: 8.3801 7.4722 9.4022
angles: 90.00 115.74 90.00
Fractional positions:
Na1 0.2133 0.0446 0.1770
Na2 0.2133 0.4554 0.6770
Na3 0.7867 0.5446 0.3230
Na4 0.7867 0.9554 0.8230
Ga1 0.0019 0.1302 0.3872
Ga2 0.0019 0.3698 0.8872
Ga3 0.4846 0.6726 0.5853
Ga4 0.4846 0.8274 0.0853
Ga5 0.5154 0.1726 0.9147
Ga6 0.5154 0.3274 0.4147
Ga7 0.9981 0.6302 0.1128
Ga8 0.9981 0.8698 0.6128
Au1 0.1453 0.7188 0.9241
Au2 0.1453 0.7812 0.4241
Au3 0.1710 0.1014 0.8435
Au4 0.1710 0.3986 0.3435
Au5 0.3654 0.1031 0.5397
Au6 0.3654 0.3969 0.0397
Au7 0.3762 0.6510 0.2670
Au8 0.3762 0.8490 0.7670
Au9 0.6238 0.1510 0.2330
Au10 0.6238 0.3490 0.7330
Au11 0.6346 0.6031 0.9603
Au12 0.6346 0.8969 0.4603
Au13 0.8290 0.6014 0.6565
Au14 0.8290 0.8986 0.1565
Au15 0.8547 0.2188 0.5759
Au16 0.8547 0.2812 0.0759

Largest 10 diffraction maxima, in order of falling intensity, 5° ≤ 2θ ≤ 70°:
38.06 deg, intensity 1000, hkl 1 3 0; 37.51 deg, intensity 984, hkl 1 2 -3; 26.67 deg, intensity 977, hkl 2 1 -2; 38.51 deg, intensity 832, hkl 2 2 1; 40.15 deg, intensity 826, hkl 2 1 2; 22.31 deg, intensity 802, hkl 1 1 1; 23.81 deg, intensity 781, hkl 2 0 -2; 40.63 deg, intensity 700, hkl 3 2 -1; 16.76 deg, intensity 697, hkl 1 1 -1; 41.10 deg, intensity 600, hkl 1 3 -2

Record 6
# Na4ZnGa2Au
Calculated PXRD pattern, Cu Kα (weighted mean of Kα1 and Kα2). Input: a PBE-relaxed structure.
Neutral-atom scattering factors, no anomalous dispersion.

Crystal structure
abc: 4.8479 4.8479 6.8581
angles: 90.00 90.00 90.00
Fractional positions:
Na1 0.0000 0.0000 0.0000
Na2 0.0000 0.5000 0.7495
Na3 0.5000 0.0000 0.2505
Na4 0.5000 0.5000 0.5000
Zn1 0.5000 0.5000 0.0000
Ga1 0.0000 0.5000 0.2493
Ga2 0.5000 0.0000 0.7507
Au1 0.0000 0.0000 0.5000

Largest 10 diffraction maxima, in order of falling intensity, 5° ≤ 2θ ≤ 70°:
37.08 deg, intensity 1000, hkl 2 0 0; 22.46 deg, intensity 518, hkl 1 0 1; 66.84 deg, intensity 338, hkl 3 1 2; 43.79 deg, intensity 279, hkl 2 1 1; 53.45 deg, intensity 170, hkl 2 2 0; 58.69 deg, intensity 119, hkl 3 0 1; 12.91 deg, intensity 116, hkl 0 0 1; 18.30 deg, intensity 110, hkl 1 0 0; 29.12 deg, intensity 75, hkl 1 1 1; 25.99 deg, intensity 70, hkl 1 1 0

What is the formula in the third record? Tm3Mg3GaAu2

Which formula does entry 1 have? Na2Mg2Ga2PtAu